Diffraction record for Ta2Fe. The XRD peak list is computed, not measured: it uses a DFT-relaxed cell (PBE, the Materials Project) and Cu Kα.
Neutral-atom scattering factors, no anomalous dispersion.

The 8 most intense peaks (2θ from 10° to 90°), in order of rising 2θ:
(0 0 2), 18.53 deg, 4.789 Å, intensity 22; (0 0 4), 37.56 deg, 2.394 Å, intensity 48; (1 1 1), 38.07 deg, 2.364 Å, intensity 86; (1 1 2), 41.55 deg, 2.173 Å, intensity 100; (1 1 3), 46.88 deg, 1.938 Å, intensity 48; (1 1 5), 61.56 deg, 1.506 Å, intensity 21; (3 0 0), 66.39 deg, 1.408 Å, intensity 27; (3 0 4), 78.86 deg, 1.214 Å, intensity 33

Structure:
Cell lengths 4.8779, 4.8779, 9.5779 Å; angles 90.00, 90.00, 120.00 degrees
Space group P6_3/mcm (No. 193)
Symmetry-distinct sites (fractional):
Ta 0.0000 0.0000 0.0000 (multiplicity 2)
Ta 0.0000 0.3431 0.2500 (multiplicity 6)
Fe 0.3333 0.6667 0.0000 (multiplicity 4)